The following is a theoretical powder diffraction line list of AlCuW2O8. It was derived from a DFT-relaxed cell (GGA+U, Alexandria), using copper Kα.
Lines closer than 0.1° are merged.

Peak list (10 most intense, 2θ from 10° to 90°, in order of falling intensity)
index, Position (°2θ), I_rel
1 1 -3, 30.9, 100
1 1 1, 30.7, 100
1 1 -1, 23.6, 74
0 0 2, 19.4, 70
0 1 2, 25.0, 61
1 2 -1, 36.4, 43
2 0 -6, 54.6, 41
0 3 2, 52.4, 35
2 0 -2, 35.7, 34
1 2 -3, 41.6, 28

Structural model:
```
data_AlCuW2O8
_chemical_formula_sum 'Al2 Cu2 W4 O16'
_symmetry_space_group_name_H-M 'P 1 2/c 1'
_symmetry_Int_Tables_number 13
_cell_length_a 5.032
_cell_length_b 5.671
_cell_length_c 10.389
_cell_angle_alpha 90.00
_cell_angle_beta 118.45
_cell_angle_gamma 90.00
loop_
_symmetry_equiv_pos_as_xyz
'x,y,z'
'-x,-y,-z'
'-x,y,-z+1/2'
'x,-y,z+1/2'
loop_
_atom_site_label
_atom_site_fract_x
_atom_site_fract_y
_atom_site_fract_z
Al1 0.000 0.158 0.250
Cu1 0.500 0.153 0.750
W1 0.241 0.327 0.999
O1 0.182 0.387 0.615
O2 0.210 0.144 0.139
O3 0.249 0.098 0.874
O4 0.306 0.384 0.388
```